(1)
Theoretical powder X-ray diffraction pattern of Na2CaTl4Cd for Cu Kα, 1.54184 Å, from a structure optimized by DFT (PBE).
Kinematic intensities with the Lorentz-polarization factor, no thermal factor.

Principal peaks in the range 2θ from 15° to 90°, most intense first:
hkl 1 3 3, 33.6 deg, intensity 100
hkl 0 2 3, 22.6 deg, intensity 60
hkl 1 1 4, 29.2 deg, intensity 55
hkl 1 1 0, 19.0 deg, intensity 48
hkl 1 1 6, 38.5 deg, intensity 43
hkl 2 0 0, 35.1 deg, intensity 41
hkl 1 1 2, 22.0 deg, intensity 29
hkl 1 5 0, 43.1 deg, intensity 27

Structural model:
```
data_Na2CaTl4Cd
_chemical_formula_sum 'Na8 Ca4 Tl16 Cd4'
_cell_length_a 5.107
_cell_length_b 11.504
_cell_length_c 16.198
_cell_angle_alpha 90.00
_cell_angle_beta 90.00
_cell_angle_gamma 90.00
_symmetry_space_group_name_H-M 'C m c m'
_symmetry_Int_Tables_number 63
_symmetry_space_group_name_Hall '-C 2c 2'
loop_
_atom_site_label
_atom_site_type_symbol
_atom_site_fract_x
_atom_site_fract_y
_atom_site_fract_z
Na1 Na 0.000 0.212 0.074
Ca1 Ca 0.000 0.429 0.250
Tl1 Tl 0.000 0.089 0.605
Tl2 Tl 0.000 0.105 0.250
Tl3 Tl 0.000 0.500 0.000
Cd1 Cd 0.000 0.268 0.750
```

(2)
Theoretical powder X-ray diffraction pattern of Ca2NbCdO6 for Cu Kα, 1.54184 Å, from a structure optimized by DFT (PBE).
Kinematic intensities with the Lorentz-polarization factor, no thermal factor.

Principal peaks in the range 2θ from 15° to 90°, most intense first:
hkl 1 0 4, 30.0 deg, intensity 100
hkl 1 1 0, 31.4 deg, intensity 83
hkl 0 1 2, 21.6 deg, intensity 80
hkl 0 2 4, 44.0 deg, intensity 48
hkl 3 -1 4, 55.0 deg, intensity 40
hkl 2 -1 6, 48.5 deg, intensity 38
hkl 3 0 0, 55.8 deg, intensity 28
hkl 0 1 8, 52.4 deg, intensity 16

Structural model:
```
data_Ca2NbCdO6
_chemical_formula_sum 'Ca6 Nb3 Cd3 O18'
_cell_length_a 5.7047
_cell_length_b 5.7047
_cell_length_c 14.9341
_cell_angle_alpha 90.00
_cell_angle_beta 90.00
_cell_angle_gamma 120.00
_symmetry_space_group_name_H-M 'R 3'
_symmetry_Int_Tables_number 146
_symmetry_space_group_name_Hall 'R 3'
loop_
_atom_site_label
_atom_site_type_symbol
_atom_site_fract_x
_atom_site_fract_y
_atom_site_fract_z
Ca1 Ca 0.0000 0.0000 0.0000
Ca2 Ca 0.0000 0.0000 0.4974
Nb1 Nb 0.0000 0.0000 0.7175
Cd1 Cd 0.0000 0.0000 0.2197
O1 O 0.0081 0.3940 0.4433
O2 O 0.0773 0.6950 0.2861
```